(1)
Diffraction record for CsNd2Ti2NbO10. The powder diffractogram is computed, not measured: it uses DFT lattice parameters and positions (GGA-PBE) and Cu Kα (weighted mean of Kα1 and Kα2).

Main lines, low angle first (10° ≤ 2θ ≤ 90°):
16.99 deg, I = 33; 28.54 deg, I = 100; 28.71 deg, I = 94; 32.49 deg, I = 59; 32.67 deg, I = 45; 37.02 deg, I = 29; 46.73 deg, I = 61; 55.77 deg, I = 31

Cell and atoms:
Cell lengths 5.5145, 5.4826, 15.6600 Å; angles 90.00, 90.47, 90.00 degrees
Space group Cm (No. 8)
One atom of each set of equivalent atoms:
Cs 0.0000 0.0000 0.0000 (multiplicity 2)
Nd 0.4713 0.5000 0.3854 (multiplicity 2)
Nd 0.4817 0.5000 0.6665 (multiplicity 2)
Ti 0.4953 0.0000 0.7940 (multiplicity 2)
Ti 0.4968 0.0000 0.5137 (multiplicity 2)
Nb 0.0003 0.5000 0.2343 (multiplicity 2)
O 0.9996 0.5000 0.1198 (multiplicity 2)
O 0.0160 0.5000 0.6330 (multiplicity 2)
O 0.0246 0.5000 0.3853 (multiplicity 2)
O 0.2447 0.2479 0.7585 (multiplicity 4)
O 0.2597 0.2530 0.2670 (multiplicity 4)
O 0.2716 0.2573 0.5036 (multiplicity 4)
O 0.4990 0.0000 0.9028 (multiplicity 2)

***

(2)
Diffraction record for Nd3ThIr3. The powder diffractogram is computed, not measured: it uses DFT lattice parameters and positions (GGA-PBE) and Cu Kα (weighted mean of Kα1 and Kα2).

Main lines, low angle first (10° ≤ 2θ ≤ 90°):
25.62 deg, I = 21; 32.14 deg, I = 30; 33.35 deg, I = 28; 36.11 deg, I = 78; 36.97 deg, I = 100; 51.14 deg, I = 19; 52.64 deg, I = 26; 67.18 deg, I = 25

Cell and atoms:
Cell lengths 8.6161, 8.6161, 17.6744 Å; angles 90.00, 90.00, 120.00 degrees
Space group R-3 (No. 148, hexagonal axes)
One atom of each set of equivalent atoms:
Nd 0.0164 0.2827 0.1028 (multiplicity 18)
Th 0.0000 0.0000 0.3267 (multiplicity 6)
Ir 0.0075 0.3839 0.9368 (multiplicity 18)